No. 1
This entry pairs a crystal structure of CsNbS2N with its theoretical XRD peak list. Radiation: copper Kα. Structure: the PBE geometry in Alexandria.

Peak list (8 most intense, 5 to 70 degrees two-theta, by intensity)
27.17 deg, rel. 100, (1 0 1); 43.58 deg, rel. 69, (0 0 2); 33.39 deg, rel. 61, (2 0 0); 23.44 deg, rel. 48, (1 1 0); 56.02 deg, rel. 39, (2 0 2); 66.80 deg, rel. 31, (2 2 2); 47.95 deg, rel. 21, (2 2 0); 50.13 deg, rel. 12, (1 1 2)

Atomic structure:
```
data_CsNbS2N
_chemical_formula_sum 'Cs1 Nb1 S2 N1'
_space_group_name_H-M_alt 'P 4/m m m'
_space_group_IT_number 123
_space_group_name_Hall '-P 4 2'
_cell_length_a 5.366
_cell_length_b 5.366
_cell_length_c 4.148
_cell_angle_alpha 90.00
_cell_angle_beta 90.00
_cell_angle_gamma 90.00
loop_
_atom_site_label
_atom_site_type_symbol
_atom_site_fract_x
_atom_site_fract_y
_atom_site_fract_z
Cs1 Cs 0.000 0.000 0.000
Nb1 Nb 0.500 0.500 0.500
S1 S 0.000 0.500 0.000
N1 N 0.000 0.000 0.500
```

No. 2
This entry pairs a crystal structure of Sm3Pu3TaN8 with its theoretical XRD peak list. Radiation: copper Kα. Structure: the PBE geometry in Alexandria.

Peak list (8 most intense, 5 to 70 degrees two-theta, by intensity)
31.85 deg, rel. 100, (2 0 2); 36.81 deg, rel. 93, (0 2 4); 31.41 deg, rel. 35, (0 0 6); 52.76 deg, rel. 32, (2 0 8); 53.34 deg, rel. 32, (2 2 0); 63.22 deg, rel. 31, (2 2 6); 15.56 deg, rel. 25, (0 0 3); 62.70 deg, rel. 18, (0 2 10)

Atomic structure:
```
data_Sm3Pu3TaN8
_chemical_formula_sum 'Sm9 Pu9 Ta3 N24'
_space_group_name_H-M_alt 'R -3 m'
_space_group_IT_number 166
_space_group_name_Hall '-R 3 2"'
_cell_length_a 6.8706
_cell_length_b 6.8706
_cell_length_c 17.0891
_cell_angle_alpha 90.00
_cell_angle_beta 90.00
_cell_angle_gamma 120.00
loop_
_atom_site_label
_atom_site_type_symbol
_atom_site_fract_x
_atom_site_fract_y
_atom_site_fract_z
Sm1 Sm 0.0000 0.5000 0.0000
Pu1 Pu 0.0000 0.5000 0.5000
Ta1 Ta 0.0000 0.0000 0.5000
N1 N 0.0000 0.0000 0.2452
N2 N 0.0297 0.5148 0.2354
```

No. 3
This entry pairs a crystal structure of Ho7TmSc2 with its theoretical XRD peak list. Radiation: copper Kα. Structure: the PBE geometry in Alexandria.

Peak list (8 most intense, 5 to 70 degrees two-theta, by intensity)
35.44 deg, rel. 100, (3 1 1); 31.36 deg, rel. 76, (2 4 0); 28.71 deg, rel. 61, (0 4 1); 26.08 deg, rel. 58, (2 0 1); 45.83 deg, rel. 53, (2 4 2); 32.56 deg, rel. 46, (0 0 2); 19.98 deg, rel. 24, (0 2 1); 16.11 deg, rel. 23, (0 0 1)

Atomic structure:
```
data_Ho7TmSc2
_chemical_formula_sum 'Ho14 Tm2 Sc4'
_space_group_name_H-M_alt 'C m m m'
_space_group_IT_number 65
_space_group_name_Hall '-C 2 2'
_cell_length_a 8.727
_cell_length_b 15.073
_cell_length_c 5.501
_cell_angle_alpha 90.00
_cell_angle_beta 90.00
_cell_angle_gamma 90.00
loop_
_atom_site_label
_atom_site_type_symbol
_atom_site_fract_x
_atom_site_fract_y
_atom_site_fract_z
Ho1 Ho 0.000 0.000 0.000
Ho2 Ho 0.000 0.263 0.500
Ho3 Ho 0.181 0.381 0.000
Tm1 Tm 0.000 0.500 0.500
Sc1 Sc 0.000 0.206 0.000
```

No. 4
This entry pairs a crystal structure of Dy12AlCu6 with its theoretical XRD peak list. Radiation: copper Kα. Structure: the PBE geometry in Alexandria.

Peak list (8 most intense, 5 to 70 degrees two-theta, by intensity)
34.17 deg, rel. 100, (3 2 1); 31.56 deg, rel. 42, (2 2 2); 54.49 deg, rel. 36, (5 0 3); 28.75 deg, rel. 34, (3 1 0); 57.89 deg, rel. 34, (5 3 2); 67.45 deg, rel. 18, (5 4 3); 36.61 deg, rel. 18, (4 0 0); 47.20 deg, rel. 16, (5 1 0)

Atomic structure:
```
data_Dy12AlCu6
_chemical_formula_sum 'Dy24 Al2 Cu12'
_space_group_name_H-M_alt 'I m -3'
_space_group_IT_number 204
_space_group_name_Hall '-I 2 2 3'
_cell_length_a 9.819
_cell_length_b 9.819
_cell_length_c 9.819
_cell_angle_alpha 90.00
_cell_angle_beta 90.00
_cell_angle_gamma 90.00
loop_
_atom_site_label
_atom_site_type_symbol
_atom_site_fract_x
_atom_site_fract_y
_atom_site_fract_z
Dy1 Dy 0.000 0.188 0.295
Al1 Al 0.000 0.000 0.000
Cu1 Cu 0.000 0.375 0.500
```

No. 5
This entry pairs a crystal structure of Zn3Sb with its theoretical XRD peak list. Radiation: copper Kα. Structure: the PBE geometry in Alexandria.

Peak list (8 most intense, 5 to 70 degrees two-theta, by intensity)
39.88 deg, rel. 100, (3 1 1); 28.03 deg, rel. 58, (0 2 1); 43.44 deg, rel. 48, (0 4 1); 43.27 deg, rel. 44, (3 3 0); 36.84 deg, rel. 37, (1 3 1); 42.31 deg, rel. 37, (0 0 2); 21.35 deg, rel. 31, (2 0 0); 62.12 deg, rel. 29, (3 3 2)

Atomic structure:
```
data_Zn3Sb
_chemical_formula_sum 'Zn12 Sb4'
_space_group_name_H-M_alt 'C m c m'
_space_group_IT_number 63
_space_group_name_Hall '-C 2c 2'
_cell_length_a 8.323
_cell_length_b 9.544
_cell_length_c 4.273
_cell_angle_alpha 90.00
_cell_angle_beta 90.00
_cell_angle_gamma 90.00
loop_
_atom_site_label
_atom_site_type_symbol
_atom_site_fract_x
_atom_site_fract_y
_atom_site_fract_z
Zn1 Zn 0.000 0.065 0.250
Zn2 Zn 0.164 0.184 0.750
Sb1 Sb 0.000 0.355 0.250
```

No. 6
This entry pairs a crystal structure of LaAsHPd with its theoretical XRD peak list. Radiation: copper Kα. Structure: the PBE geometry in Alexandria.

Peak list (8 most intense, 5 to 70 degrees two-theta, by intensity)
32.25 deg, rel. 100, (1 0 1); 40.57 deg, rel. 52, (1 1 0); 62.42 deg, rel. 28, (1 1 2); 52.75 deg, rel. 25, (0 2 1); 68.60 deg, rel. 22, (2 1 1); 45.30 deg, rel. 12, (0 0 2); 23.09 deg, rel. 6, (1 0 0); 51.45 deg, rel. 2, (0 1 2)

Atomic structure:
```
data_LaAsHPd
_chemical_formula_sum 'La1 As1 H1 Pd1'
_space_group_name_H-M_alt 'P 3 m 1'
_space_group_IT_number 156
_space_group_name_Hall 'P 3 -2"'
_cell_length_a 4.4471
_cell_length_b 4.4471
_cell_length_c 4.0037
_cell_angle_alpha 90.00
_cell_angle_beta 90.00
_cell_angle_gamma 120.00
loop_
_atom_site_label
_atom_site_type_symbol
_atom_site_fract_x
_atom_site_fract_y
_atom_site_fract_z
La1 La 0.0000 0.0000 0.0000
As1 As 0.3333 0.6667 0.5180
H1 H 0.6667 0.3333 0.0103
Pd1 Pd 0.6667 0.3333 0.4846
```

No. 7
This entry pairs a crystal structure of TmNpO4 with its theoretical XRD peak list. Radiation: copper Kα. Structure: the PBE geometry in Alexandria.

Peak list (8 most intense, 5 to 70 degrees two-theta, by intensity)
31.19 deg, rel. 100, (1 1 1); 24.89 deg, rel. 53, (0 2 0); 25.57 deg, rel. 48, (2 0 0); 47.96 deg, rel. 38, (1 3 1); 48.73 deg, rel. 35, (3 1 1); 35.99 deg, rel. 30, (2 2 0); 61.72 deg, rel. 21, (3 3 1); 59.00 deg, rel. 19, (2 0 2)

Atomic structure:
```
data_TmNpO4
_chemical_formula_sum 'Tm2 Np2 O8'
_space_group_name_H-M_alt 'C m m m'
_space_group_IT_number 65
_space_group_name_Hall '-C 2 2'
_cell_length_a 6.967
_cell_length_b 7.155
_cell_length_c 3.504
_cell_angle_alpha 90.00
_cell_angle_beta 90.00
_cell_angle_gamma 90.00
loop_
_atom_site_label
_atom_site_type_symbol
_atom_site_fract_x
_atom_site_fract_y
_atom_site_fract_z
Tm1 Tm 0.000 0.000 0.000
Np1 Np 0.000 0.500 0.500
O1 O 0.000 0.314 0.000
O2 O 0.202 0.000 0.500
```

What did the fifth record say?
This entry pairs a crystal structure of Zn3Sb with its theoretical XRD peak list. Radiation: copper Kα. Structure: the PBE geometry in Alexandria.

Peak list (8 most intense, 5 to 70 degrees two-theta, by intensity)
39.88 deg, rel. 100, (3 1 1); 28.03 deg, rel. 58, (0 2 1); 43.44 deg, rel. 48, (0 4 1); 43.27 deg, rel. 44, (3 3 0); 36.84 deg, rel. 37, (1 3 1); 42.31 deg, rel. 37, (0 0 2); 21.35 deg, rel. 31, (2 0 0); 62.12 deg, rel. 29, (3 3 2)

Atomic structure:
```
data_Zn3Sb
_chemical_formula_sum 'Zn12 Sb4'
_space_group_name_H-M_alt 'C m c m'
_space_group_IT_number 63
_space_group_name_Hall '-C 2c 2'
_cell_length_a 8.323
_cell_length_b 9.544
_cell_length_c 4.273
_cell_angle_alpha 90.00
_cell_angle_beta 90.00
_cell_angle_gamma 90.00
loop_
_atom_site_label
_atom_site_type_symbol
_atom_site_fract_x
_atom_site_fract_y
_atom_site_fract_z
Zn1 Zn 0.000 0.065 0.250
Zn2 Zn 0.164 0.184 0.750
Sb1 Sb 0.000 0.355 0.250
```

Question: Number 3 is which compound?
Answer: Ho7TmSc2